1.
Diffraction record for K2ZrTa. The XRD peak list is calculated, not measured: it uses a structure optimized by DFT (GGA-PBE) and λ = 1.5418 Å (Cu Kα).
Kinematic intensities with the Lorentz-polarization factor, no thermal factor.

Principal peaks in the range 10° ≤ 2θ ≤ 80°, sorted by position:
| two_theta | I_rel |
| --- | --- |
| 13.95 | 37.2 |
| 21.00 | 14.5 |
| 28.15 | 15.1 |
| 31.59 | 100.0 |
| 35.41 | 70.4 |
| 35.78 | 24.9 |
| 36.50 | 15.9 |
| 40.25 | 23.0 |
| 45.82 | 25.7 |
| 61.69 | 13.9 |

Structure:
```
K2ZrTa
1.0
2.0383 -2.5095 0.0000
2.0383 2.5095 0.0000
0.0000 0.0000 12.6936
K Zr Ta
2 1 1
direct
0.0000 0.0000 0.0000
0.5000 0.5000 0.3294
0.0000 0.0000 0.6016
0.5000 0.5000 0.7531
```

=====

2.
Diffraction record for K3Tb3VTe8. The XRD peak list is calculated, not measured: it uses a structure optimized by DFT (GGA-PBE) and λ = 1.5418 Å (Cu Kα).
Kinematic intensities with the Lorentz-polarization factor, no thermal factor.

Principal peaks in the range 10° ≤ 2θ ≤ 80°, sorted by position:
| two_theta | I_rel |
| --- | --- |
| 10.35 | 66.4 |
| 27.55 | 100.0 |
| 34.22 | 26.8 |
| 36.89 | 32.0 |
| 41.70 | 34.3 |
| 43.08 | 12.3 |
| 45.84 | 17.6 |
| 50.71 | 17.1 |
| 67.67 | 13.1 |
| 70.14 | 10.4 |

Structure:
```
K3Tb3VTe8
1.0
7.5095 -4.3284 0.0000
7.5095 4.3284 0.0000
-5.0131 0.0000 8.5455
K Tb V Te
3 3 1 8
direct
0.0000 0.0000 0.0000
0.0000 0.5000 0.0000
0.5000 0.0000 0.0000
0.0000 0.5000 0.5000
0.5000 0.0000 0.5000
0.5000 0.5000 0.5000
0.0000 0.0000 0.5000
0.2184 0.2184 0.6949
0.2184 0.7582 0.6949
0.2418 0.7816 0.3051
0.2628 0.2628 0.2883
0.7372 0.7372 0.7117
0.7582 0.2184 0.6949
0.7816 0.2418 0.3051
0.7816 0.7816 0.3051
```

=====

3.
Diffraction record for K4Tb3ZrTe8. The XRD peak list is calculated, not measured: it uses a structure optimized by DFT (GGA-PBE) and λ = 1.5418 Å (Cu Kα).
Kinematic intensities with the Lorentz-polarization factor, no thermal factor.

Principal peaks in the range 10° ≤ 2θ ≤ 80°, sorted by position:
| two_theta | I_rel |
| --- | --- |
| 10.69 | 43.8 |
| 27.31 | 100.0 |
| 34.43 | 18.7 |
| 37.26 | 34.7 |
| 40.70 | 36.0 |
| 46.69 | 12.5 |
| 49.71 | 18.5 |
| 56.35 | 10.1 |
| 61.29 | 10.7 |
| 66.12 | 15.3 |

Structure:
```
K4Tb3ZrTe8
1.0
4.4338 2.5599 8.2738
-4.4338 2.5599 8.2738
0.0000 -5.1197 8.2738
K Tb Zr Te
4 3 1 8
direct
0.0000 0.0000 0.0000
0.0000 0.5000 0.5000
0.5000 0.0000 0.5000
0.5000 0.5000 0.0000
0.0000 0.0000 0.5000
0.0000 0.5000 0.0000
0.5000 0.0000 0.0000
0.5000 0.5000 0.5000
0.2374 0.2374 0.2374
0.2469 0.7299 0.7299
0.2701 0.2701 0.7531
0.2701 0.7531 0.2701
0.7299 0.2469 0.7299
0.7299 0.7299 0.2469
0.7531 0.2701 0.2701
0.7627 0.7627 0.7627
```

=====

4.
Diffraction record for KTc8. The XRD peak list is calculated, not measured: it uses a structure optimized by DFT (GGA-PBE) and λ = 1.5418 Å (Cu Kα).
Kinematic intensities with the Lorentz-polarization factor, no thermal factor.

Principal peaks in the range 10° ≤ 2θ ≤ 80°, sorted by position:
| two_theta | I_rel |
| --- | --- |
| 14.74 | 23.3 |
| 38.54 | 100.0 |
| 43.88 | 20.4 |
| 45.26 | 26.4 |
| 49.42 | 13.2 |
| 63.06 | 8.1 |
| 64.87 | 17.4 |
| 65.94 | 5.5 |
| 77.08 | 12.4 |
| 79.05 | 11.0 |

Structure:
```
KTc8
1.0
-4.2501 4.2501 2.0631
4.2501 -4.2501 2.0631
4.2501 4.2501 -2.0631
K Tc
1 8
direct
0.0000 0.0000 0.0000
0.0000 0.3556 0.3556
0.0000 0.6444 0.6444
0.3057 0.3057 0.6115
0.3057 0.6943 0.0000
0.3556 0.0000 0.3556
0.6444 0.0000 0.6444
0.6943 0.3057 0.0000
0.6943 0.6943 0.3885
```

=====

5.
Diffraction record for KTi2Tc2. The XRD peak list is calculated, not measured: it uses a structure optimized by DFT (GGA-PBE) and λ = 1.5418 Å (Cu Kα).
Kinematic intensities with the Lorentz-polarization factor, no thermal factor.

Principal peaks in the range 10° ≤ 2θ ≤ 80°, sorted by position:
| two_theta | I_rel |
| --- | --- |
| 15.47 | 49.0 |
| 24.58 | 22.2 |
| 30.56 | 11.6 |
| 35.04 | 59.8 |
| 39.60 | 100.0 |
| 44.76 | 22.9 |
| 47.16 | 11.8 |
| 51.28 | 29.2 |
| 65.16 | 11.6 |
| 70.39 | 22.6 |

Structure:
```
KTi2Tc2
1.0
8.0985 0.0000 0.0000
0.0000 8.0985 0.0000
0.0000 0.0000 2.9257
K Ti Tc
2 4 4
direct
0.0000 0.0000 0.0000
0.5000 0.5000 0.0000
0.1345 0.3655 0.5000
0.3655 0.8655 0.5000
0.6345 0.1345 0.5000
0.8655 0.6345 0.5000
0.1323 0.6323 0.0000
0.3677 0.1323 0.0000
0.6323 0.8677 0.0000
0.8677 0.3677 0.0000
```

=====

6.
Diffraction record for K3Te4. The XRD peak list is calculated, not measured: it uses a structure optimized by DFT (GGA-PBE) and λ = 1.5418 Å (Cu Kα).
Kinematic intensities with the Lorentz-polarization factor, no thermal factor.

Principal peaks in the range 10° ≤ 2θ ≤ 80°, sorted by position:
| two_theta | I_rel |
| --- | --- |
| 16.86 | 81.6 |
| 22.83 | 24.4 |
| 26.88 | 100.0 |
| 30.07 | 21.5 |
| 33.19 | 37.5 |
| 33.58 | 35.7 |
| 34.80 | 70.0 |
| 38.75 | 26.0 |
| 39.97 | 22.2 |
| 47.93 | 27.1 |

Structure:
```
K3Te4
1.0
-2.2559 2.6995 11.5857
2.2559 -2.6995 11.5857
2.2559 2.6995 -11.5857
K Te
3 4
direct
0.0000 0.0000 0.0000
0.1793 0.6793 0.5000
0.8207 0.3207 0.5000
0.3375 0.8375 0.5000
0.4376 0.4376 0.0000
0.5624 0.5624 0.0000
0.6625 0.1625 0.5000
```